The following is a calculated powder diffractogram of CoHBrO. It was derived from a DFT-relaxed cell (PBE+U, Alexandria), using a wavelength of 1.5418 Å.

The 12 most intense peaks (2θ from 10° to 90°), in order of falling intensity:
2θ 24.41, 3.646 Å, I = 1000
2θ 16.11, 5.501 Å, I = 565
2θ 36.52, 2.460 Å, I = 523
2θ 36.68, 2.450 Å, I = 497
2θ 21.60, 4.115 Å, I = 314
2θ 49.72, 1.834 Å, I = 214
2θ 51.21, 1.784 Å, I = 195
2θ 45.31, 2.002 Å, I = 190
2θ 51.58, 1.772 Å, I = 172
2θ 28.09, 3.176 Å, I = 159
2θ 74.33, 1.276 Å, I = 136
2θ 61.41, 1.510 Å, I = 131

Structural model:
```
CoHBrO
1.0
5.6039 -1.6588 0.0000
5.6039 1.6588 0.0000
-0.8009 0.0000 4.1151
Co H Br O
1 1 1 1
direct
0.0000 0.0000 0.0000
0.3285 0.3285 0.7165
0.6492 0.6492 0.2950
0.4112 0.4112 0.8426
```